1.
For CsPmSeO, a crystal structure in Alexandria, relaxed with GGA-PBE gives the simulated X-ray diffraction stick pattern in this record (Cu Ka).
Intensities are scaled so that the largest is 100.

The 10 most intense peaks (2θ from 10° to 80°), by intensity:
2θ/deg  I/Imax  (hkl)
32.1  100.0  2 0 1
27.1  87.6  1 1 -1
37.1  80.5  2 0 -3
46.0  57.0  0 2 0
26.3  48.9  2 0 -1
22.2  36.2  0 0 2
51.7  22.5  3 1 1
60.5  19.6  2 2 -3
57.2  18.6  2 2 1
40.0  18.2  1 1 -3

Structure:
```
data_CsPmSeO
_chemical_formula_sum 'Cs2 Pm2 Se2 O2'
_cell_length_a 6.8326
_cell_length_b 3.9451
_cell_length_c 8.3221
_cell_angle_alpha 90.00
_cell_angle_beta 105.79
_cell_angle_gamma 90.00
_space_group_name_H-M_alt 'C 1 m 1'
_space_group_IT_number 8
loop_
_space_group_symop_operation_xyz
'x,y,z'
'x,-y,z'
'x+1/2,y+1/2,z'
'x+1/2,-y+1/2,z'
loop_
_atom_site_label
_atom_site_type_symbol
_atom_site_fract_x
_atom_site_fract_y
_atom_site_fract_z
Cs1 Cs 0.0000 0.0000 0.0000
Pm1 Pm 0.1537 0.0000 0.4583
Se1 Se 0.0649 0.5000 0.6930
O1 O 0.2834 0.5000 0.3471
```

=====

2.
For SnPbIO2, a crystal structure in Alexandria, relaxed with GGA-PBE gives the simulated X-ray diffraction stick pattern in this record (Cu Ka).
Intensities are scaled so that the largest is 100.

The 10 most intense peaks (2θ from 10° to 80°), by intensity:
2θ/deg  I/Imax  (hkl)
29.3  100.0  1 3 1
30.9  20.1  2 0 0
44.7  19.7  2 0 2
31.4  19.3  0 0 2
54.0  18.5  3 3 1
54.6  17.9  1 3 3
51.0  10.3  0 6 2
50.7  10.1  2 6 0
60.8  9.0  2 6 2
72.9  7.8  3 3 3

Structure:
```
data_SnPbIO2
_chemical_formula_sum 'Sn4 Pb4 I4 O8'
_cell_length_a 5.7794
_cell_length_b 13.8202
_cell_length_c 5.7016
_cell_angle_alpha 90.00
_cell_angle_beta 90.00
_cell_angle_gamma 90.00
_space_group_name_H-M_alt 'C m c m'
_space_group_IT_number 63
_space_group_name_Hall '-C 2c 2'
loop_
_atom_site_label
_atom_site_type_symbol
_atom_site_fract_x
_atom_site_fract_y
_atom_site_fract_z
Sn1 Sn 0.0000 0.0660 0.2500
Pb1 Pb 0.0000 0.4000 0.2500
I1 I 0.0000 0.2504 0.7500
O1 O 0.2294 0.0000 0.0000
```

=====

3.
For Cd3NiC, a crystal structure in Alexandria, relaxed with GGA-PBE gives the simulated X-ray diffraction stick pattern in this record (Cu Ka).
Intensities are scaled so that the largest is 100.

The 10 most intense peaks (2θ from 10° to 80°), by intensity:
2θ/deg  I/Imax  (hkl)
34.5  100.0  1 1 1
40.0  54.5  2 0 0
69.1  36.7  3 1 1
57.9  34.8  2 2 0
72.7  11.4  2 2 2
19.7  7.3  1 0 0
45.0  3.1  2 1 0
28.0  2.3  1 1 0
61.8  1.4  3 0 0
49.6  1.1  2 1 1

Structure:
```
data_Cd3NiC
_chemical_formula_sum 'Cd3 Ni1 C1'
_cell_length_a 4.5057
_cell_length_b 4.5057
_cell_length_c 4.5057
_cell_angle_alpha 90.00
_cell_angle_beta 90.00
_cell_angle_gamma 90.00
_space_group_name_H-M_alt 'P m -3 m'
_space_group_IT_number 221
_space_group_name_Hall '-P 4 2 3'
loop_
_atom_site_label
_atom_site_type_symbol
_atom_site_fract_x
_atom_site_fract_y
_atom_site_fract_z
Cd1 Cd 0.0000 0.0000 0.5000
Ni1 Ni 0.5000 0.5000 0.5000
C1 C 0.0000 0.0000 0.0000
```